1.
The following is a theoretical XRD peak list of Co3W10C4. It was derived from a cell relaxed with GGA-PBE, using λ = 1.5418 Å (Cu Kα).
Neutral-atom scattering factors, no anomalous dispersion.

Largest 6 diffraction maxima, sorted by position, 10 to 90 degrees two-theta:
2theta  Rel. int.
12.84  30
34.41  32
35.81  35
40.82  57
41.23  100
42.61  49

Structural model:
a b c (Å): 7.962 7.962 8.076
angles (deg): 90.00 90.00 120.00
Atoms (fractional coordinates):
Co: 0.063 0.532 0.250
Co: 0.468 0.532 0.250
Co: 0.468 0.937 0.250
Co: 0.532 0.063 0.750
Co: 0.532 0.468 0.750
Co: 0.937 0.468 0.750
W: 0.000 0.000 0.000
W: 0.000 0.000 0.500
W: 0.118 0.236 0.250
W: 0.118 0.882 0.250
W: 0.211 0.421 0.561
W: 0.211 0.421 0.939
W: 0.211 0.789 0.561
W: 0.211 0.789 0.939
W: 0.236 0.118 0.750
W: 0.421 0.211 0.061
W: 0.421 0.211 0.439
W: 0.579 0.789 0.561
W: 0.579 0.789 0.939
W: 0.764 0.882 0.250
W: 0.789 0.211 0.061
W: 0.789 0.211 0.439
W: 0.789 0.579 0.061
W: 0.789 0.579 0.439
W: 0.882 0.118 0.750
W: 0.882 0.764 0.750
C: 0.000 0.500 0.000
C: 0.000 0.500 0.500
C: 0.333 0.667 0.250
C: 0.500 0.000 0.000
C: 0.500 0.000 0.500
C: 0.500 0.500 0.000
C: 0.500 0.500 0.500
C: 0.667 0.333 0.750

---

2.
The following is a theoretical XRD peak list of SnS. It was derived from a cell relaxed with GGA-PBE, using λ = 1.5418 Å (Cu Kα).
Neutral-atom scattering factors, no anomalous dispersion.

Largest 6 diffraction maxima, sorted by position, 10 to 90 degrees two-theta:
2theta  Rel. int.
22.78  79
26.65  100
30.18  53
30.56  54
31.23  51
31.60  52

Structural model:
a b c (Å): 11.236 4.163 4.163
angles (deg): 89.30 90.00 90.00
Atoms (fractional coordinates):
Sn: 0.126 0.250 0.750
Sn: 0.874 0.750 0.250
S: 0.103 0.789 0.289
S: 0.897 0.289 0.789

---

3.
The following is a theoretical XRD peak list of Ag2S. It was derived from a cell relaxed with GGA-PBE, using λ = 1.5418 Å (Cu Kα).
Neutral-atom scattering factors, no anomalous dispersion.

Largest 6 diffraction maxima, sorted by position, 10 to 90 degrees two-theta:
2theta  Rel. int.
25.21  15
27.86  31
32.69  100
34.70  15
37.64  30
44.52  18

Structural model:
a b c (Å): 4.265 4.265 7.589
angles (deg): 90.00 90.00 111.83
Atoms (fractional coordinates):
Ag: 0.007 0.993 0.500
Ag: 0.394 0.606 0.256
Ag: 0.606 0.394 0.756
Ag: 0.993 0.007 0.000
S: 0.217 0.783 0.755
S: 0.783 0.217 0.255

---

4.
The following is a theoretical XRD peak list of SrCaInBiO6. It was derived from a cell relaxed with GGA-PBE, using λ = 1.5418 Å (Cu Kα).
Neutral-atom scattering factors, no anomalous dispersion.

Largest 6 diffraction maxima, sorted by position, 10 to 90 degrees two-theta:
2theta  Rel. int.
21.10  34
30.02  100
42.97  32
53.30  41
62.39  20
86.50  22

Structural model:
a b c (Å): 5.954 5.954 5.954
angles (deg): 60.00 60.00 60.00
Atoms (fractional coordinates):
Sr: 0.000 0.000 0.000
Ca: 0.500 0.500 0.500
In: 0.750 0.750 0.750
Bi: 0.250 0.250 0.250
O: 0.001 0.001 0.499
O: 0.001 0.499 0.001
O: 0.001 0.499 0.499
O: 0.499 0.001 0.001
O: 0.499 0.001 0.499
O: 0.499 0.499 0.001

---

5.
The following is a theoretical XRD peak list of Rb3Tc. It was derived from a cell relaxed with GGA-PBE, using λ = 1.5418 Å (Cu Kα).
Neutral-atom scattering factors, no anomalous dispersion.

Largest 6 diffraction maxima, sorted by position, 10 to 90 degrees two-theta:
2theta  Rel. int.
25.87  100
28.97  37
43.59  24
49.49  33
53.20  26
69.59  17

Structural model:
a b c (Å): 7.112 7.112 7.112
angles (deg): 128.63 128.63 75.60
Atoms (fractional coordinates):
Rb: 0.000 0.000 0.000
Rb: 0.250 0.750 0.500
Rb: 0.750 0.250 0.500
Tc: 0.500 0.500 0.000

---

Copy entry 5 word for word.
The following is a theoretical XRD peak list of Rb3Tc. It was derived from a cell relaxed with GGA-PBE, using λ = 1.5418 Å (Cu Kα).
Neutral-atom scattering factors, no anomalous dispersion.

Largest 6 diffraction maxima, sorted by position, 10 to 90 degrees two-theta:
2theta  Rel. int.
25.87  100
28.97  37
43.59  24
49.49  33
53.20  26
69.59  17

Structural model:
a b c (Å): 7.112 7.112 7.112
angles (deg): 128.63 128.63 75.60
Atoms (fractional coordinates):
Rb: 0.000 0.000 0.000
Rb: 0.250 0.750 0.500
Rb: 0.750 0.250 0.500
Tc: 0.500 0.500 0.000

---

Copy entry 2 word for word.
The following is a theoretical XRD peak list of SnS. It was derived from a cell relaxed with GGA-PBE, using λ = 1.5418 Å (Cu Kα).
Neutral-atom scattering factors, no anomalous dispersion.

Largest 6 diffraction maxima, sorted by position, 10 to 90 degrees two-theta:
2theta  Rel. int.
22.78  79
26.65  100
30.18  53
30.56  54
31.23  51
31.60  52

Structural model:
a b c (Å): 11.236 4.163 4.163
angles (deg): 89.30 90.00 90.00
Atoms (fractional coordinates):
Sn: 0.126 0.250 0.750
Sn: 0.874 0.750 0.250
S: 0.103 0.789 0.289
S: 0.897 0.289 0.789